Entry 1:
Diffraction record for LiSnH. The powder X-ray diffraction pattern is calculated, not measured: it uses DFT lattice parameters and positions (PBE) and a wavelength of 1.5418 Å.

Peak list (10 most intense, 2θ = 10–80°, most intense first)
Position (°2θ), I_rel
17.11, 100
29.80, 41
29.00, 40
30.77, 32
42.07, 31
33.70, 24
34.03, 24
34.35, 23
25.20, 23
19.86, 20

Crystal structure
```
LiSnH
1.0
3.079 0.000 0.000
0.058 5.329 0.000
0.017 1.440 5.996
Li Sn H
2 2 2
direct
0.004 0.114 0.177
0.996 0.886 0.823
0.499 0.410 0.767
0.501 0.590 0.233
0.024 0.929 0.496
0.976 0.071 0.504
```

***

Entry 2:
Diffraction record for Er6Tm2Al. The powder X-ray diffraction pattern is calculated, not measured: it uses DFT lattice parameters and positions (PBE) and a wavelength of 1.5418 Å.

Peak list (10 most intense, 2θ = 10–80°, most intense first)
Position (°2θ), I_rel
32.09, 100
32.94, 71
31.64, 64
34.17, 60
32.24, 34
33.33, 32
38.29, 27
47.69, 23
52.24, 23
59.87, 17

Crystal structure
```
Er6Tm2Al
1.0
9.879 0.000 0.000
0.000 5.248 0.000
-0.006 0.000 10.071
Er Tm Al
12 4 2
direct
0.029 0.000 0.184
0.130 0.500 0.617
0.183 0.500 0.950
0.317 0.000 0.450
0.370 0.000 0.117
0.471 0.500 0.684
0.529 0.500 0.316
0.630 0.000 0.883
0.683 0.000 0.550
0.817 0.500 0.050
0.870 0.500 0.383
0.971 0.000 0.816
0.203 0.500 0.277
0.297 0.000 0.777
0.703 0.000 0.223
0.797 0.500 0.723
0.000 0.000 0.500
0.500 0.500 0.000
```

***

Entry 3:
Diffraction record for Na5B7C3. The powder X-ray diffraction pattern is calculated, not measured: it uses DFT lattice parameters and positions (PBE) and a wavelength of 1.5418 Å.

Peak list (10 most intense, 2θ = 10–80°, most intense first)
Position (°2θ), I_rel
41.92, 100
41.20, 51
42.18, 38
36.02, 18
63.69, 18
79.39, 17
76.93, 12
35.20, 10
56.64, 10
65.29, 9

Crystal structure
```
Na5B7C3
1.0
7.146 -2.550 0.000
7.146 2.550 0.000
-2.859 0.000 8.570
Na B C
10 14 6
direct
0.049 0.049 0.245
0.151 0.150 0.752
0.252 0.247 0.249
0.352 0.349 0.753
0.451 0.445 0.242
0.555 0.549 0.758
0.651 0.648 0.247
0.753 0.748 0.751
0.850 0.849 0.248
0.951 0.951 0.755
0.025 0.366 0.500
0.061 0.727 0.000
0.154 0.846 0.500
0.272 0.537 0.499
0.273 0.939 0.000
0.334 0.666 0.000
0.357 0.036 0.500
0.463 0.728 0.501
0.471 0.130 0.000
0.634 0.975 0.500
0.688 0.312 0.000
0.824 0.176 0.500
0.870 0.529 0.000
0.964 0.643 0.500
0.128 0.467 0.000
0.533 0.872 0.000
0.571 0.233 0.499
0.734 0.063 0.001
0.767 0.429 0.501
0.937 0.266 0.999
```

***

Entry 4:
Diffraction record for GePdPt. The powder X-ray diffraction pattern is calculated, not measured: it uses DFT lattice parameters and positions (PBE) and a wavelength of 1.5418 Å.

Peak list (10 most intense, 2θ = 10–80°, most intense first)
Position (°2θ), I_rel
43.92, 100
40.29, 98
33.56, 50
61.11, 29
78.27, 28
30.71, 25
26.49, 25
72.72, 16
52.07, 14
25.33, 14

Crystal structure
```
GePdPt
1.0
2.061 1.190 6.704
-2.061 1.190 6.704
0.000 -2.380 6.704
Ge Pd Pt
2 2 2
direct
0.000 0.000 0.000
0.161 0.161 0.161
0.709 0.709 0.709
0.873 0.873 0.873
0.289 0.289 0.289
0.455 0.455 0.455
```

***

Entry 5:
Diffraction record for Rb3Cd4Sn4. The powder X-ray diffraction pattern is calculated, not measured: it uses DFT lattice parameters and positions (PBE) and a wavelength of 1.5418 Å.

Peak list (10 most intense, 2θ = 10–80°, most intense first)
Position (°2θ), I_rel
30.59, 100
41.45, 54
27.29, 37
13.55, 32
43.80, 28
58.20, 28
23.58, 23
46.06, 22
68.90, 18
75.60, 18

Crystal structure
```
Rb3Cd4Sn4
1.0
-4.621 4.621 4.621
4.621 -4.621 4.621
4.621 4.621 -4.621
Rb Cd Sn
3 4 4
direct
0.000 0.500 0.500
0.500 0.000 0.500
0.500 0.500 0.000
0.000 0.000 0.678
0.000 0.678 0.000
0.322 0.322 0.322
0.678 0.000 0.000
0.000 0.000 0.320
0.000 0.320 0.000
0.320 0.000 0.000
0.680 0.680 0.680
```

***

Entry 6:
Diffraction record for PaCo2PN. The powder X-ray diffraction pattern is calculated, not measured: it uses DFT lattice parameters and positions (PBE) and a wavelength of 1.5418 Å.

Peak list (10 most intense, 2θ = 10–80°, most intense first)
Position (°2θ), I_rel
35.59, 100
38.49, 98
31.71, 46
38.24, 40
26.84, 35
16.20, 29
67.16, 20
52.51, 19
65.96, 19
55.50, 17

Crystal structure
```
PaCo2PN
1.0
1.743 -5.470 0.000
1.743 5.470 0.000
0.000 0.000 6.589
Pa Co P N
2 4 2 2
direct
0.040 0.960 0.750
0.960 0.040 0.250
0.326 0.674 0.555
0.326 0.674 0.945
0.674 0.326 0.055
0.674 0.326 0.445
0.230 0.770 0.250
0.770 0.230 0.750
0.500 0.500 0.000
0.500 0.500 0.500
```

***

Entry 7:
Diffraction record for Cs2PaBr5F. The powder X-ray diffraction pattern is calculated, not measured: it uses DFT lattice parameters and positions (PBE) and a wavelength of 1.5418 Å.

Peak list (10 most intense, 2θ = 10–80°, most intense first)
Position (°2θ), I_rel
13.48, 100
30.81, 98
22.31, 78
27.15, 71
45.53, 63
32.68, 40
38.37, 39
25.59, 38
44.14, 36
55.99, 34

Crystal structure
```
Cs2PaBr5F
1.0
-4.104 4.104 5.481
4.104 -4.104 5.481
4.104 4.104 -5.481
Cs Pa Br F
2 1 5 1
direct
0.000 0.500 0.500
0.500 0.000 0.500
0.249 0.249 0.000
0.006 0.006 0.510
0.006 0.495 0.000
0.495 0.006 0.000
0.495 0.495 0.490
0.505 0.505 0.000
0.058 0.058 0.000
```